No. 1
This entry pairs a crystal structure of SrMg14CuO16 with its theoretical powder X-ray diffraction pattern. Radiation: Cu Kα. Structure: DFT lattice parameters and positions (PBE).
Intensities are scaled so that the largest is 100.

Crystal structure
Lattice parameters (Å, degrees): 4.3903 8.5495 8.7640 90.00 90.00 90.00
Space group Pmmm (No. 47)
Symmetry-distinct sites (fractional):
Sr  0.0000  0.0000  0.0000 (multiplicity 1)
Mg  0.0000  0.0000  0.5000 (multiplicity 1)
Mg  0.0000  0.2574  0.2579 (multiplicity 4)
Mg  0.0000  0.5000  0.5000 (multiplicity 1)
Mg  0.5000  0.0000  0.2605 (multiplicity 2)
Mg  0.5000  0.2520  0.5000 (multiplicity 2)
Mg  0.5000  0.2606  0.0000 (multiplicity 2)
Mg  0.5000  0.5000  0.2516 (multiplicity 2)
Cu  0.0000  0.5000  0.0000 (multiplicity 1)
O  0.0000  0.0000  0.2706 (multiplicity 2)
O  0.0000  0.2517  0.5000 (multiplicity 2)
O  0.0000  0.2751  0.0000 (multiplicity 2)
O  0.0000  0.5000  0.2659 (multiplicity 2)
O  0.5000  0.0000  0.0000 (multiplicity 1)
O  0.5000  0.0000  0.5000 (multiplicity 1)
O  0.5000  0.2502  0.2488 (multiplicity 4)
O  0.5000  0.5000  0.0000 (multiplicity 1)
O  0.5000  0.5000  0.5000 (multiplicity 1)

Most intense lines, 15° ≤ 2θ ≤ 90°, in order of rising 2θ:
(0 0 2), 2θ 20.2, I = 12; (0 2 1), 2θ 23.2, I = 8; (0 2 2), 2θ 29.2, I = 10; (1 2 1), 2θ 30.9, I = 9; (1 2 2), 2θ 35.8, I = 33; (2 0 0), 2θ 41.2, I = 100; (0 4 0), 2θ 42.3, I = 45; (2 0 4), 2θ 59.6, I = 29; (2 4 0), 2θ 60.5, I = 54; (2 4 4), 2θ 75.8, I = 25

---

No. 2
This entry pairs a crystal structure of SrMg6CuO8 with its theoretical powder X-ray diffraction pattern. Radiation: Cu Kα. Structure: DFT lattice parameters and positions (PBE).
Intensities are scaled so that the largest is 100.

Crystal structure
Lattice parameters (Å, degrees): 4.5212 4.5212 8.5834 90.00 90.00 90.00
Space group P4/mmm (No. 123)
Symmetry-distinct sites (fractional):
Sr  0.0000  0.0000  0.0000 (multiplicity 1)
Mg  0.0000  0.5000  0.2623 (multiplicity 4)
Mg  0.5000  0.5000  0.0000 (multiplicity 1)
Mg  0.5000  0.5000  0.5000 (multiplicity 1)
Cu  0.0000  0.0000  0.5000 (multiplicity 1)
O  0.0000  0.0000  0.2746 (multiplicity 2)
O  0.0000  0.5000  0.0000 (multiplicity 2)
O  0.0000  0.5000  0.5000 (multiplicity 2)
O  0.5000  0.5000  0.2504 (multiplicity 2)

Most intense lines, 15° ≤ 2θ ≤ 90°, in order of rising 2θ:
(1 0 0), 2θ 19.6, I = 35; (0 0 2), 2θ 20.7, I = 16; (1 0 2), 2θ 28.7, I = 29; (1 1 2), 2θ 35.0, I = 48; (2 0 0), 2θ 39.9, I = 100; (0 0 4), 2θ 42.1, I = 40; (2 2 0), 2θ 57.7, I = 30; (2 0 4), 2θ 59.4, I = 52; (3 1 2), 2θ 69.3, I = 17; (2 2 4), 2θ 73.9, I = 25

---

No. 3
This entry pairs a crystal structure of Sr2MgTlCuO5 with its theoretical powder X-ray diffraction pattern. Radiation: Cu Kα. Structure: DFT lattice parameters and positions (PBE).
Intensities are scaled so that the largest is 100.

Crystal structure
Lattice parameters (Å, degrees): 3.6210 3.7145 11.5159 90.00 90.00 90.00
Space group Pmm2 (No. 25)
Symmetry-distinct sites (fractional):
Sr  0.0000  0.0000  0.0000 (multiplicity 1)
Sr  0.0000  0.0000  0.3256 (multiplicity 1)
Mg  0.0000  0.5000  0.7869 (multiplicity 1)
Tl  0.5000  0.5000  0.5852 (multiplicity 1)
Cu  0.5000  0.5000  0.1736 (multiplicity 1)
O  0.0000  0.0000  0.7041 (multiplicity 1)
O  0.0000  0.5000  0.1499 (multiplicity 1)
O  0.5000  0.0000  0.1608 (multiplicity 1)
O  0.5000  0.5000  0.3801 (multiplicity 1)
O  0.5000  0.5000  0.8922 (multiplicity 1)

Most intense lines, 15° ≤ 2θ ≤ 90°, in order of rising 2θ:
(0 0 2), 2θ 15.4, I = 48; (0 1 1), 2θ 25.2, I = 54; (1 0 1), 2θ 25.8, I = 45; (0 1 2), 2θ 28.6, I = 54; (1 0 2), 2θ 29.1, I = 63; (0 1 3), 2θ 33.6, I = 59; (1 0 3), 2θ 34.0, I = 59; (1 1 0), 2θ 34.6, I = 100; (1 1 3), 2θ 42.1, I = 54; (0 2 0), 2θ 49.0, I = 29

---

No. 4
This entry pairs a crystal structure of Sr2MgTlCuO5 with its theoretical powder X-ray diffraction pattern. Radiation: Cu Kα. Structure: DFT lattice parameters and positions (PBE).
Intensities are scaled so that the largest is 100.

Crystal structure
Lattice parameters (Å, degrees): 3.8428 3.8428 12.2680 90.00 90.00 90.00
Space group P4/mmm (No. 123)
Symmetry-distinct sites (fractional):
Sr  0.0000  0.0000  0.1948 (multiplicity 2)
Mg  0.0000  0.0000  0.5000 (multiplicity 1)
Tl  0.5000  0.5000  0.0000 (multiplicity 1)
Cu  0.5000  0.5000  0.5000 (multiplicity 1)
O  0.0000  0.0000  0.0000 (multiplicity 1)
O  0.0000  0.5000  0.5000 (multiplicity 2)
O  0.5000  0.5000  0.1913 (multiplicity 2)

Most intense lines, 15° ≤ 2θ ≤ 90°, in order of rising 2θ:
(1 0 2), 2θ 27.4, I = 100; (0 0 4), 2θ 29.1, I = 28; (1 0 3), 2θ 32.0, I = 41; (1 1 0), 2θ 33.0, I = 66; (1 1 1), 2θ 33.8, I = 27; (1 1 4), 2θ 44.5, I = 24; (2 0 0), 2θ 47.3, I = 30; (1 1 5), 2θ 50.1, I = 21; (2 1 2), 2θ 55.5, I = 30; (1 1 6), 2θ 56.3, I = 17

---

No. 5
This entry pairs a crystal structure of Sr2YMgCu3O7 with its theoretical powder X-ray diffraction pattern. Radiation: Cu Kα. Structure: DFT lattice parameters and positions (PBE).
Intensities are scaled so that the largest is 100.

Crystal structure
Lattice parameters (Å, degrees): 3.4363 3.9747 14.4290 90.00 90.00 90.00
Space group Pmm2 (No. 25)
Symmetry-distinct sites (fractional):
Sr  0.0000  0.0000  0.0000 (multiplicity 1)
Sr  0.0000  0.0000  0.2681 (multiplicity 1)
Y  0.0000  0.0000  0.7360 (multiplicity 1)
Mg  0.0000  0.0000  0.5339 (multiplicity 1)
Cu  0.5000  0.5000  0.1402 (multiplicity 1)
Cu  0.5000  0.5000  0.4217 (multiplicity 1)
Cu  0.5000  0.5000  0.8630 (multiplicity 1)
O  0.0000  0.5000  0.4768 (multiplicity 1)
O  0.0000  0.5000  0.7912 (multiplicity 1)
O  0.5000  0.0000  0.1411 (multiplicity 1)
O  0.5000  0.0000  0.6212 (multiplicity 1)
O  0.5000  0.0000  0.8487 (multiplicity 1)
O  0.5000  0.5000  0.0057 (multiplicity 1)
O  0.5000  0.5000  0.2790 (multiplicity 1)

Most intense lines, 15° ≤ 2θ ≤ 90°, in order of rising 2θ:
(0 1 3), 2θ 29.1, I = 47; (1 0 3), 2θ 32.0, I = 28; (0 1 4), 2θ 33.5, I = 61; (1 1 0), 2θ 34.5, I = 100; (1 0 4), 2θ 36.1, I = 97; (0 0 7), 2θ 43.9, I = 24; (0 2 0), 2θ 45.6, I = 41; (2 0 0), 2θ 53.3, I = 25; (1 1 7), 2θ 57.0, I = 41; (1 2 4), 2θ 59.5, I = 43

---

No. 6
This entry pairs a crystal structure of Sr2YMgCu3O7 with its theoretical powder X-ray diffraction pattern. Radiation: Cu Kα. Structure: DFT lattice parameters and positions (PBE).
Intensities are scaled so that the largest is 100.

Crystal structure
Lattice parameters (Å, degrees): 3.6924 3.9105 14.3145 90.00 90.00 90.00
Space group Pmm2 (No. 25)
Symmetry-distinct sites (fractional):
Sr  0.0000  0.0000  0.0000 (multiplicity 1)
Sr  0.0000  0.0000  0.3072 (multiplicity 1)
Y  0.0000  0.0000  0.5566 (multiplicity 1)
Mg  0.0000  0.5000  0.8106 (multiplicity 1)
Cu  0.5000  0.5000  0.1419 (multiplicity 1)
Cu  0.5000  0.5000  0.4352 (multiplicity 1)
Cu  0.5000  0.5000  0.6626 (multiplicity 1)
O  0.0000  0.5000  0.0927 (multiplicity 1)
O  0.0000  0.5000  0.4711 (multiplicity 1)
O  0.0000  0.5000  0.6755 (multiplicity 1)
O  0.5000  0.0000  0.4409 (multiplicity 1)
O  0.5000  0.0000  0.6488 (multiplicity 1)
O  0.5000  0.5000  0.2783 (multiplicity 1)
O  0.5000  0.5000  0.8785 (multiplicity 1)

Most intense lines, 15° ≤ 2θ ≤ 90°, in order of rising 2θ:
(0 1 3), 2θ 29.5, I = 65; (1 0 3), 2θ 30.6, I = 28; (1 1 0), 2θ 33.4, I = 98; (0 1 4), 2θ 34.0, I = 93; (1 0 4), 2θ 34.9, I = 100; (0 2 0), 2θ 46.4, I = 48; (2 0 0), 2θ 49.4, I = 36; (1 1 7), 2θ 56.6, I = 47; (1 2 4), 2θ 59.4, I = 40; (2 1 4), 2θ 61.3, I = 31

---

No. 7
This entry pairs a crystal structure of Sr2YMgCu3O7 with its theoretical powder X-ray diffraction pattern. Radiation: Cu Kα. Structure: DFT lattice parameters and positions (PBE).
Intensities are scaled so that the largest is 100.

Crystal structure
Lattice parameters (Å, degrees): 3.6361 3.9365 14.3530 90.00 90.13 90.00
Space group Pm (No. 6)
Symmetry-distinct sites (fractional):
Sr  0.0000  0.0000  0.0000 (multiplicity 1)
Sr  0.0013  0.0000  0.2944 (multiplicity 1)
Y  0.9996  0.0000  0.7443 (multiplicity 1)
Mg  0.9979  0.5000  0.4822 (multiplicity 1)
Cu  0.4994  0.5000  0.6355 (multiplicity 1)
Cu  0.4998  0.5000  0.1552 (multiplicity 1)
Cu  0.5003  0.5000  0.8687 (multiplicity 1)
O  0.9995  0.5000  0.8213 (multiplicity 1)
O  0.4972  0.5000  0.4123 (multiplicity 1)
O  0.4988  0.0000  0.6514 (multiplicity 1)
O  0.4998  0.0000  0.1899 (multiplicity 1)
O  0.5000  0.0000  0.8622 (multiplicity 1)
O  0.5000  0.5000  0.0188 (multiplicity 1)
O  0.9989  0.5000  0.6161 (multiplicity 1)

Most intense lines, 15° ≤ 2θ ≤ 90°, in order of rising 2θ:
(0 1 3), 2θ 29.4, I = 42; (1 0 3), 2θ 30.9, I = 31; (1 1 0), 2θ 33.6, I = 86; (0 1 4), 2θ 33.8, I = 76; (1 0 -4), 2θ 35.1, I = 100; (0 2 0), 2θ 46.1, I = 40; (2 0 0), 2θ 50.2, I = 35; (1 1 -7), 2θ 56.5, I = 25; (1 2 -4), 2θ 59.2, I = 32; (2 2 0), 2θ 70.5, I = 22

---

No. 8
This entry pairs a crystal structure of Mg2Ta2CuO8 with its theoretical powder X-ray diffraction pattern. Radiation: Cu Kα. Structure: DFT lattice parameters and positions (PBE).
Intensities are scaled so that the largest is 100.

Crystal structure
Lattice parameters (Å, degrees): 19.1681 6.0615 5.1793 90.00 92.58 90.00
Space group C2/c (No. 15)
Symmetry-distinct sites (fractional):
Mg  0.2272  0.1440  0.2466 (multiplicity 8)
Ta  0.1164  0.3386  0.7276 (multiplicity 8)
Cu  0.0000  0.1466  0.2500 (multiplicity 4)
O  0.0572  0.1368  0.5594 (multiplicity 8)
O  0.0735  0.3922  0.0570 (multiplicity 8)
O  0.1865  0.3970  0.4460 (multiplicity 8)
O  0.1914  0.1459  0.8701 (multiplicity 8)

Most intense lines, 15° ≤ 2θ ≤ 90°, in order of rising 2θ:
(4 0 0), 2θ 18.5, I = 89; (3 1 0), 2θ 20.2, I = 61; (1 1 1), 2θ 23.2, I = 73; (3 1 -1), 2θ 26.2, I = 96; (5 1 0), 2θ 27.6, I = 70; (5 1 -1), 2θ 32.0, I = 82; (5 1 1), 2θ 33.2, I = 91; (0 2 1), 2θ 34.3, I = 100; (0 0 2), 2θ 34.7, I = 52; (8 2 -1), 2θ 51.1, I = 85

---

No. 9
This entry pairs a crystal structure of MgTa4Cu2O12 with its theoretical powder X-ray diffraction pattern. Radiation: Cu Kα. Structure: DFT lattice parameters and positions (PBE).
Intensities are scaled so that the largest is 100.

Crystal structure
Lattice parameters (Å, degrees): 5.0789 5.0789 9.0607 90.00 90.00 90.00
Space group P-4 (No. 81)
Symmetry-distinct sites (fractional):
Mg  0.0000  0.0000  0.0000 (multiplicity 1)
Ta  0.0000  0.5000  0.5625 (multiplicity 2)
Ta  0.0000  0.5000  0.9006 (multiplicity 2)
Cu  0.0000  0.5000  0.2559 (multiplicity 2)
O  0.1721  0.3110  0.7462 (multiplicity 4)
O  0.2181  0.2848  0.4335 (multiplicity 4)
O  0.2224  0.2785  0.0627 (multiplicity 4)

Most intense lines, 15° ≤ 2θ ≤ 90°, in order of rising 2θ:
(1 0 1), 2θ 20.0, I = 24; (1 1 0), 2θ 24.8, I = 100; (1 0 3), 2θ 34.6, I = 69; (2 0 0), 2θ 35.3, I = 29; (1 2 3), 2θ 50.3, I = 60; (2 2 0), 2θ 50.8, I = 20; (3 1 0), 2θ 57.4, I = 19; (3 0 3), 2θ 62.9, I = 18; (2 3 3), 2θ 74.3, I = 15; (1 4 3), 2θ 85.0, I = 12